Entry 1:
# CeRe4Si2
Computed X-ray powder pattern, Cu Ka. Input: a structure optimized by DFT (PBE).

abc: 7.3013 7.3013 4.0755
angles: 90.00 90.00 146.96
Positions (direct):
1 Ce 0.0000 0.0000 0.0000
2 Re 0.1855 0.8145 0.5000
3 Re 0.3053 0.6947 0.0000
4 Re 0.6947 0.3053 0.0000
5 Re 0.8145 0.1855 0.5000
6 Si 0.4129 0.5871 0.5000
7 Si 0.5871 0.4129 0.5000

The 10 most intense peaks (2θ from 15° to 90°), by angle:
- 33.8 deg, rel. 6
- 36.4 deg, rel. 100
- 38.6 deg, rel. 10
- 43.6 deg, rel. 21
- 44.5 deg, rel. 20
- 44.9 deg, rel. 32
- 55.8 deg, rel. 9
- 64.0 deg, rel. 13
- 75.3 deg, rel. 12
- 76.6 deg, rel. 12

=====

Entry 2:
# CeThRe
Computed X-ray powder pattern, Cu Ka. Input: a structure optimized by DFT (PBE).

abc: 6.0975 6.0975 6.0975
angles: 146.37 146.37 48.30
Positions (direct):
1 Ce 0.0000 0.0000 0.0000
2 Th 0.6861 0.6861 0.0000
3 Re 0.3427 0.3427 0.0000

The 10 most intense peaks (2θ from 15° to 90°), by angle:
- 35.1 deg, rel. 100
- 36.0 deg, rel. 48
- 49.1 deg, rel. 10
- 51.8 deg, rel. 17
- 62.4 deg, rel. 19
- 64.1 deg, rel. 36
- 74.2 deg, rel. 11
- 82.7 deg, rel. 7
- 86.9 deg, rel. 8
- 87.4 deg, rel. 8

=====

Entry 3:
# Ce2YRe9
Computed X-ray powder pattern, Cu Ka. Input: a structure optimized by DFT (PBE).

abc: 9.6574 9.6574 9.6574
angles: 31.86 31.86 31.86
Positions (direct):
1 Ce 0.1471 0.1471 0.1471
2 Ce 0.8529 0.8529 0.8529
3 Y 0.0000 0.0000 0.0000
4 Re 0.0786 0.5835 0.5835
5 Re 0.3350 0.3350 0.3350
6 Re 0.4165 0.4165 0.9214
7 Re 0.4165 0.9214 0.4165
8 Re 0.5000 0.5000 0.5000
9 Re 0.5835 0.0786 0.5835
10 Re 0.5835 0.5835 0.0786
11 Re 0.6650 0.6650 0.6650
12 Re 0.9214 0.4165 0.4165

The 10 most intense peaks (2θ from 15° to 90°), by angle:
- 19.6 deg, rel. 26
- 39.3 deg, rel. 100
- 39.4 deg, rel. 18
- 41.1 deg, rel. 12
- 42.7 deg, rel. 29
- 45.8 deg, rel. 17
- 64.2 deg, rel. 18
- 71.1 deg, rel. 18
- 71.3 deg, rel. 14
- 84.5 deg, rel. 20

=====

Entry 4:
# Ce4ZnRe
Computed X-ray powder pattern, Cu Ka. Input: a structure optimized by DFT (PBE).

abc: 7.5162 7.5162 5.9210
angles: 101.45 101.45 111.96
Positions (direct):
1 Ce 0.0667 0.6860 0.9243
2 Ce 0.1942 0.3817 0.6678
3 Ce 0.3140 0.9333 0.5757
4 Ce 0.3817 0.1942 0.1678
5 Ce 0.6183 0.8058 0.8322
6 Ce 0.6860 0.0667 0.4243
7 Ce 0.8058 0.6183 0.3322
8 Ce 0.9333 0.3140 0.0757
9 Zn 0.3880 0.6120 0.2500
10 Zn 0.6120 0.3880 0.7500
11 Re 0.0006 0.9994 0.2500
12 Re 0.9994 0.0006 0.7500

The 10 most intense peaks (2θ from 15° to 90°), by angle:
- 31.4 deg, rel. 17
- 33.0 deg, rel. 65
- 35.4 deg, rel. 100
- 36.8 deg, rel. 39
- 37.3 deg, rel. 46
- 37.9 deg, rel. 42
- 38.7 deg, rel. 18
- 40.7 deg, rel. 17
- 48.6 deg, rel. 19
- 49.7 deg, rel. 19